For BaLu2CoO5, a structure optimized by DFT (GGA+U) gives the calculated XRD peak list in this record (Cu Kα, 1.54184 Å).
No peak broadening, texture or thermal motion is included.

a b c (Å): 12.033 5.597 7.012
angles (deg): 90.00 90.00 90.00
Space group Pnma (No. 62)
Symmetry-distinct sites (fractional):
Ba: 0.095 0.250 0.073 x4
Lu: 0.074 0.750 0.398 x4
Lu: 0.212 0.250 0.618 x4
Co: 0.161 0.750 0.788 x4
O: 0.067 0.506 0.664 x8
O: 0.104 0.750 0.084 x4
O: 0.228 0.002 0.362 x8

Peak list (6 most intense, 2θ from 10° to 90°, in order of rising 2θ)
| d/Å | 2theta | I_rel |
| --- | --- | --- |
| 2.956 | 30.23 | 100 |
| 2.885 | 31.00 | 66 |
| 2.799 | 31.98 | 47 |
| 2.765 | 32.38 | 23 |
| 2.155 | 41.93 | 19 |
| 1.967 | 46.16 | 30 |